Entry 1:
For Pu2NpS4, a cell relaxed with GGA-PBE gives the computed powder diffractogram in this record (copper Kα).

Structure:
```
data_Pu2NpS4
_chemical_formula_sum 'Pu8 Np4 S16'
_space_group_name_H-M_alt 'C m c m'
_space_group_IT_number 63
_space_group_name_Hall '-C 2c 2'
_cell_length_a 3.877
_cell_length_b 13.053
_cell_length_c 12.888
_cell_angle_alpha 90.00
_cell_angle_beta 90.00
_cell_angle_gamma 90.00
loop_
_atom_site_label
_atom_site_type_symbol
_atom_site_fract_x
_atom_site_fract_y
_atom_site_fract_z
Pu1 Pu 0.000 0.133 0.068
Np1 Np 0.000 0.382 0.250
S1 S 0.000 0.029 0.250
S2 S 0.000 0.226 0.626
S3 S 0.000 0.500 0.000
```

Principal peaks in the range 2θ from 15° to 90°, sorted by position:
| two_theta | d_spacing | I/Imax | index |
| --- | --- | --- | --- |
| 24.81 | 3.588 | 100.0 | 0 2 3 |
| 24.93 | 3.571 | 30.9 | 1 1 1 |
| 27.33 | 3.263 | 30.3 | 0 4 0 |
| 27.71 | 3.220 | 37.0 | 1 1 2 |
| 31.68 | 2.824 | 33.4 | 1 3 1 |
| 33.95 | 2.640 | 43.8 | 1 3 2 |
| 42.69 | 2.118 | 29.3 | 1 1 5 |
| 44.12 | 2.053 | 17.2 | 1 5 2 |
| 46.83 | 1.940 | 38.1 | 2 0 0 |
| 50.88 | 1.795 | 15.8 | 0 4 6 |
| 53.75 | 1.706 | 25.9 | 2 2 3 |
| 68.40 | 1.372 | 15.1 | 2 6 3 |

---

Entry 2:
For Na8Zr6BBr20, a cell relaxed with GGA-PBE gives the computed powder diffractogram in this record (copper Kα).

Structure:
```
data_Na8Zr6BBr20
_chemical_formula_sum 'Na32 Zr24 B4 Br80'
_space_group_name_H-M_alt 'F m -3 m'
_space_group_IT_number 225
_space_group_name_Hall '-F 4 2 3'
_cell_length_a 15.885
_cell_length_b 15.885
_cell_length_c 15.885
_cell_angle_alpha 90.00
_cell_angle_beta 90.00
_cell_angle_gamma 90.00
loop_
_atom_site_label
_atom_site_type_symbol
_atom_site_fract_x
_atom_site_fract_y
_atom_site_fract_z
Na1 Na 0.139 0.139 0.139
Zr1 Zr 0.000 0.000 0.354
B1 B 0.000 0.000 0.500
Br1 Br 0.000 0.000 0.173
Br2 Br 0.000 0.170 0.330
Br3 Br 0.250 0.250 0.250
```

Principal peaks in the range 2θ from 15° to 90°, sorted by position:
| two_theta | d_spacing | I/Imax | index |
| --- | --- | --- | --- |
| 22.39 | 3.971 | 16.4 | 4 0 0 |
| 25.07 | 3.552 | 25.1 | 4 2 0 |
| 29.21 | 3.057 | 54.9 | 3 3 3 |
| 33.37 | 2.685 | 26.0 | 5 3 1 |
| 33.86 | 2.648 | 100.0 | 6 0 0 |
| 35.75 | 2.512 | 27.4 | 6 2 0 |
| 43.77 | 2.068 | 11.1 | 5 5 3 |
| 48.64 | 1.872 | 65.2 | 6 6 0 |
| 57.75 | 1.597 | 20.8 | 9 3 3 |
| 60.58 | 1.529 | 16.9 | 6 6 6 |
| 78.78 | 1.215 | 10.5 | 9 9 3 |
| 81.25 | 1.184 | 16.2 | 12 6 0 |

---

Entry 3:
For ErMg3Ni, a cell relaxed with GGA-PBE gives the computed powder diffractogram in this record (copper Kα).

Structure:
```
data_ErMg3Ni
_chemical_formula_sum 'Er2 Mg6 Ni2'
_space_group_name_H-M_alt 'P 1 21/m 1'
_space_group_IT_number 11
_cell_length_a 5.250
_cell_length_b 5.757
_cell_length_c 7.228
_cell_angle_alpha 90.00
_cell_angle_beta 105.20
_cell_angle_gamma 90.00
loop_
_space_group_symop_operation_xyz
'x,y,z'
'-x,-y,-z'
'-x,y+1/2,-z'
'x,-y+1/2,z'
loop_
_atom_site_label
_atom_site_type_symbol
_atom_site_fract_x
_atom_site_fract_y
_atom_site_fract_z
Er1 Er 0.114 0.250 0.406
Mg1 Mg 0.009 0.250 0.898
Mg2 Mg 0.476 0.502 0.789
Ni1 Ni 0.329 0.750 0.465
```

Principal peaks in the range 2θ from 15° to 90°, sorted by position:
| two_theta | d_spacing | I/Imax | index |
| --- | --- | --- | --- |
| 24.31 | 3.661 | 100.0 | 1 0 1 |
| 29.96 | 2.983 | 78.6 | 0 1 2 |
| 31.07 | 2.879 | 67.4 | 0 2 0 |
| 31.20 | 2.867 | 64.9 | 1 1 -2 |
| 33.68 | 2.661 | 96.4 | 0 2 1 |
| 34.85 | 2.575 | 47.8 | 1 0 2 |
| 35.88 | 2.503 | 63.0 | 1 2 0 |
| 37.84 | 2.378 | 70.1 | 2 1 -1 |
| 38.09 | 2.363 | 76.8 | 1 0 -3 |
| 38.30 | 2.350 | 49.1 | 1 1 2 |
| 38.84 | 2.319 | 86.3 | 2 1 0 |
| 41.26 | 2.188 | 47.2 | 2 1 -2 |

---

Entry 4:
For Ac6Pd4Au, a cell relaxed with GGA-PBE gives the computed powder diffractogram in this record (copper Kα).

Structure:
```
data_Ac6Pd4Au
_chemical_formula_sum 'Ac12 Pd8 Au2'
_space_group_name_H-M_alt 'C 1 m 1'
_space_group_IT_number 8
_cell_length_a 9.123
_cell_length_b 8.504
_cell_length_c 9.561
_cell_angle_alpha 90.00
_cell_angle_beta 103.95
_cell_angle_gamma 90.00
loop_
_space_group_symop_operation_xyz
'x,y,z'
'x,-y,z'
'x+1/2,y+1/2,z'
'x+1/2,-y+1/2,z'
loop_
_atom_site_label
_atom_site_type_symbol
_atom_site_fract_x
_atom_site_fract_y
_atom_site_fract_z
Ac1 Ac 0.000 0.000 0.000
Ac2 Ac 0.006 0.500 0.023
Ac3 Ac 0.169 0.249 0.673
Ac4 Ac 0.331 0.247 0.327
Pd1 Pd 0.096 0.500 0.388
Pd2 Pd 0.100 0.000 0.394
Pd3 Pd 0.250 0.250 0.000
Au1 Au 0.403 0.500 0.613
```

Principal peaks in the range 2θ from 15° to 90°, sorted by position:
| two_theta | d_spacing | I/Imax | index |
| --- | --- | --- | --- |
| 24.24 | 3.671 | 26.6 | 2 0 1 |
| 28.47 | 3.135 | 20.7 | 0 2 2 |
| 28.87 | 3.093 | 48.0 | 0 0 3 |
| 29.11 | 3.068 | 100.0 | 2 2 0 |
| 37.73 | 2.384 | 64.5 | 2 2 -3 |
| 39.51 | 2.281 | 27.0 | 4 0 -1 |
| 42.52 | 2.126 | 22.0 | 0 4 0 |
| 44.93 | 2.018 | 16.4 | 2 2 3 |
| 49.57 | 1.839 | 19.5 | 4 0 -4 |
| 49.73 | 1.833 | 10.9 | 4 0 2 |
| 52.21 | 1.752 | 18.9 | 0 4 3 |
| 59.43 | 1.555 | 16.6 | 4 4 -1 |

---

Entry 5:
For Na3GeBi3Te8, a cell relaxed with GGA-PBE gives the computed powder diffractogram in this record (copper Kα).

Structure:
```
data_Na3GeBi3Te8
_chemical_formula_sum 'Na6 Ge2 Bi6 Te16'
_space_group_name_H-M_alt 'C 1 2/m 1'
_space_group_IT_number 12
_cell_length_a 15.226
_cell_length_b 8.788
_cell_length_c 9.314
_cell_angle_alpha 90.00
_cell_angle_beta 123.08
_cell_angle_gamma 90.00
loop_
_space_group_symop_operation_xyz
'x,y,z'
'-x,-y,-z'
'-x,y,-z'
'x,-y,z'
'x+1/2,y+1/2,z'
'-x+1/2,-y+1/2,-z'
'-x+1/2,y+1/2,-z'
'x+1/2,-y+1/2,z'
loop_
_atom_site_label
_atom_site_type_symbol
_atom_site_fract_x
_atom_site_fract_y
_atom_site_fract_z
Na1 Na 0.000 0.000 0.000
Na2 Na 0.250 0.250 0.000
Ge1 Ge 0.000 0.000 0.500
Bi1 Bi 0.000 0.500 0.500
Bi2 Bi 0.250 0.250 0.500
Te1 Te 0.002 0.228 0.280
Te2 Te 0.225 0.000 0.720
Te3 Te 0.246 0.500 0.738
```

Principal peaks in the range 2θ from 15° to 90°, sorted by position:
| two_theta | d_spacing | I/Imax | index |
| --- | --- | --- | --- |
| 23.68 | 3.757 | 16.4 | 4 0 -1 |
| 27.96 | 3.191 | 100.0 | 4 0 0 |
| 35.74 | 2.512 | 16.9 | 2 2 -3 |
| 38.82 | 2.320 | 38.4 | 2 2 2 |
| 41.08 | 2.197 | 34.6 | 0 4 0 |
| 42.75 | 2.115 | 13.0 | 6 2 -3 |
| 49.04 | 1.858 | 9.8 | 4 0 -5 |
| 50.43 | 1.810 | 18.0 | 4 4 0 |
| 57.79 | 1.595 | 11.2 | 8 0 0 |
| 63.80 | 1.459 | 14.8 | 6 2 2 |
| 66.99 | 1.397 | 14.2 | 10 2 -2 |
| 73.33 | 1.291 | 10.0 | 8 4 0 |

---

Entry 6:
For Ba2CaCd6Ag, a cell relaxed with GGA-PBE gives the computed powder diffractogram in this record (copper Kα).

Structure:
```
data_Ba2CaCd6Ag
_chemical_formula_sum 'Ba8 Ca4 Cd24 Ag4'
_space_group_name_H-M_alt 'F m -3 m'
_space_group_IT_number 225
_space_group_name_Hall '-F 4 2 3'
_cell_length_a 11.317
_cell_length_b 11.317
_cell_length_c 11.317
_cell_angle_alpha 90.00
_cell_angle_beta 90.00
_cell_angle_gamma 90.00
loop_
_atom_site_label
_atom_site_type_symbol
_atom_site_fract_x
_atom_site_fract_y
_atom_site_fract_z
Ba1 Ba 0.250 0.250 0.250
Ca1 Ca 0.000 0.000 0.000
Cd1 Cd 0.000 0.000 0.263
Ag1 Ag 0.000 0.000 0.500
```

Principal peaks in the range 2θ from 15° to 90°, sorted by position:
| two_theta | d_spacing | I/Imax | index |
| --- | --- | --- | --- |
| 15.66 | 5.659 | 7.4 | 2 0 0 |
| 22.22 | 4.001 | 15.3 | 2 2 0 |
| 27.30 | 3.267 | 100.0 | 2 2 2 |
| 31.62 | 2.829 | 99.0 | 4 0 0 |
| 41.46 | 2.178 | 6.3 | 5 1 1 |
| 45.33 | 2.001 | 69.7 | 4 4 0 |
| 53.73 | 1.706 | 41.8 | 6 2 2 |
| 56.32 | 1.633 | 23.3 | 4 4 4 |
| 66.04 | 1.415 | 10.4 | 8 0 0 |
| 72.86 | 1.298 | 15.7 | 6 6 2 |
| 75.08 | 1.265 | 28.1 | 8 4 0 |
| 83.74 | 1.155 | 20.8 | 8 4 4 |